Record 1
Simulated powder XRD pattern of BaNaScSi2O7 for Cu Kα (λ = 1.5418 Å), from DFT lattice parameters and positions (PBE).

Peak list (12 most intense, 2θ = 5–70°, low angle first)
2θ 10.5, 8.420 Å, I = 1000, hkl 0 0 1; 2θ 21.1, 4.212 Å, I = 158, hkl 1 1 -1; 2θ 25.3, 3.522 Å, I = 525, hkl 1 1 1; 2θ 26.2, 3.399 Å, I = 351, hkl 1 1 -2; 2θ 28.5, 3.133 Å, I = 163, hkl 2 0 -2; 2θ 30.2, 2.956 Å, I = 673, hkl 1 0 -3; 2θ 31.4, 2.845 Å, I = 391, hkl 0 2 0; 2θ 32.6, 2.745 Å, I = 314, hkl 2 1 -2; 2θ 32.9, 2.721 Å, I = 530, hkl 1 1 2; 2θ 38.2, 2.357 Å, I = 179, hkl 0 2 2; 2θ 40.4, 2.232 Å, I = 192, hkl 1 0 -4; 2θ 42.1, 2.144 Å, I = 299, hkl 2 2 0

Atomic structure:
Unit cell a=6.9193 b=5.6896 c=8.9295 alpha=90.00 beta=109.46 gamma=90.00
Space group P2_1/m (No. 11)
Symmetry-distinct sites (fractional):
1 Ba 0.2055 0.2500 0.0341 [2 per cell]
2 Na 0.2281 0.2500 0.5048 [2 per cell]
3 Sc 0.2019 0.7500 0.7654 [2 per cell]
4 Si 0.1404 0.7500 0.3437 [2 per cell]
5 Si 0.4466 0.7500 0.1804 [2 per cell]
6 O 0.0339 0.5091 0.2493 [4 per cell]
7 O 0.1373 0.7500 0.5247 [2 per cell]
8 O 0.2372 0.7500 0.0239 [2 per cell]
9 O 0.3850 0.7500 0.3474 [2 per cell]
10 O 0.4192 0.0137 0.8137 [4 per cell]

---

Record 2
Simulated powder XRD pattern of Ba6Na2Si4O15 for Cu Kα (λ = 1.5418 Å), from DFT lattice parameters and positions (PBE).

Peak list (12 most intense, 2θ = 5–70°, low angle first)
2θ 21.0, 4.229 Å, I = 853, hkl 2 0 -2; 2θ 22.3, 3.985 Å, I = 413, hkl 0 2 0; 2θ 29.1, 3.064 Å, I = 524, hkl 3 0 0; 2θ 30.6, 2.922 Å, I = 517, hkl 1 0 -4; 2θ 30.8, 2.902 Å, I = 1000, hkl 2 2 -2; 2θ 30.8, 2.899 Å, I = 965, hkl 1 2 2; 2θ 37.0, 2.429 Å, I = 521, hkl 3 2 0; 2θ 38.2, 2.356 Å, I = 378, hkl 1 2 -4; 2θ 42.7, 2.117 Å, I = 265, hkl 4 0 -4; 2θ 42.8, 2.112 Å, I = 255, hkl 2 0 4; 2θ 54.5, 1.683 Å, I = 298, hkl 3 2 -6; 2θ 64.2, 1.450 Å, I = 245, hkl 4 4 -4

Atomic structure:
Unit cell a=9.6515 b=7.9711 c=11.6861 alpha=90.00 beta=107.76 gamma=90.00
Space group P2_1/c (No. 14)
Symmetry-distinct sites (fractional):
1 Ba 0.0033 0.0078 0.2749 [4 per cell]
2 Ba 0.3317 0.0223 0.0830 [4 per cell]
3 Ba 0.3410 0.5046 0.0863 [4 per cell]
4 Na 0.3212 0.7479 0.8308 [4 per cell]
5 Si 0.0351 0.7097 0.5094 [4 per cell]
6 Si 0.3788 0.2439 0.8441 [4 per cell]
7 O 0.0000 0.0000 0.0000 [2 per cell]
8 O 0.1199 0.1937 0.5241 [4 per cell]
9 O 0.1292 0.7467 0.4172 [4 per cell]
10 O 0.1374 0.7428 0.6473 [4 per cell]
11 O 0.2823 0.0699 0.8240 [4 per cell]
12 O 0.2896 0.0766 0.3169 [4 per cell]
13 O 0.4864 0.2367 0.7559 [4 per cell]
14 O 0.4874 0.2472 0.9861 [4 per cell]

---

Record 3
Simulated powder XRD pattern of BaNa2Si2O6 for Cu Kα (λ = 1.5418 Å), from DFT lattice parameters and positions (PBE).

Peak list (12 most intense, 2θ = 5–70°, low angle first)
2θ 7.7, 11.503 Å, I = 975, hkl 0 0 1; 2θ 21.5, 4.127 Å, I = 543, hkl 1 0 -2; 2θ 22.0, 4.043 Å, I = 284, hkl 1 0 2; 2θ 24.0, 3.713 Å, I = 1000, hkl 1 1 0; 2θ 25.1, 3.549 Å, I = 919, hkl 1 1 -1; 2θ 25.3, 3.522 Å, I = 562, hkl 1 1 1; 2θ 28.2, 3.169 Å, I = 654, hkl 1 0 3; 2θ 29.7, 3.005 Å, I = 458, hkl 0 1 3; 2θ 30.8, 2.900 Å, I = 607, hkl 2 0 0; 2θ 37.2, 2.420 Å, I = 800, hkl 0 2 0; 2θ 39.2, 2.299 Å, I = 598, hkl 0 0 5; 2θ 43.0, 2.104 Å, I = 345, hkl 2 1 -3

Atomic structure:
Unit cell a=5.8012 b=4.8382 c=11.5058 alpha=90.00 beta=91.18 gamma=90.00
Space group P2_1 (No. 4)
Symmetry-distinct sites (fractional):
1 Ba 0.2487 0.0000 0.4024 [2 per cell]
2 Na 0.1927 0.5150 0.1756 [2 per cell]
3 Na 0.3186 0.0178 0.0139 [2 per cell]
4 Si 0.1801 0.5552 0.8469 [2 per cell]
5 Si 0.2806 0.0637 0.6946 [2 per cell]
6 O 0.0458 0.0402 0.6164 [2 per cell]
7 O 0.0946 0.0115 0.1776 [2 per cell]
8 O 0.2485 0.8880 0.8191 [2 per cell]
9 O 0.2769 0.4963 0.9771 [2 per cell]
10 O 0.3279 0.3853 0.7450 [2 per cell]
11 O 0.4874 0.4859 0.3745 [2 per cell]

---

Record 4
Simulated powder XRD pattern of BaNa2Ti2Si4O14 for Cu Kα (λ = 1.5418 Å), from DFT lattice parameters and positions (PBE).

Peak list (12 most intense, 2θ = 5–70°, low angle first)
2θ 10.5, 8.430 Å, I = 1000, hkl 1 1 0; 2θ 24.1, 3.694 Å, I = 272, hkl 1 1 2; 2θ 25.1, 3.548 Å, I = 256, hkl 0 2 2; 2θ 26.2, 3.406 Å, I = 465, hkl 3 1 0; 2θ 27.7, 3.221 Å, I = 232, hkl 2 3 1; 2θ 30.1, 2.965 Å, I = 363, hkl 1 3 2; 2θ 30.4, 2.942 Å, I = 831, hkl 2 2 2; 2θ 30.6, 2.924 Å, I = 518, hkl 2 4 0; 2θ 39.8, 2.267 Å, I = 236, hkl 1 5 2; 2θ 41.1, 2.195 Å, I = 264, hkl 3 5 0; 2θ 44.1, 2.055 Å, I = 258, hkl 0 0 4; 2θ 54.4, 1.686 Å, I = 211, hkl 5 5 0

Atomic structure:
Unit cell a=10.5314 b=14.0625 c=8.2204 alpha=90.00 beta=90.00 gamma=90.00
Space group Ima2 (No. 46)
Symmetry-distinct sites (fractional):
1 Ba 0.2500 0.2478 0.0000 [4 per cell]
2 Na 0.0000 0.0000 0.0019 [4 per cell]
3 Na 0.2500 0.6518 0.4931 [4 per cell]
4 Ti 0.2500 0.0308 0.7275 [4 per cell]
5 Ti 0.2500 0.0323 0.2284 [4 per cell]
6 Si 0.0291 0.6446 0.2052 [8 per cell]
7 Si 0.0293 0.6453 0.8108 [8 per cell]
8 O 0.0370 0.6421 0.0080 [8 per cell]
9 O 0.0879 0.7492 0.2605 [8 per cell]
10 O 0.1173 0.5664 0.7229 [8 per cell]
11 O 0.1192 0.1381 0.7624 [8 per cell]
12 O 0.1192 0.5651 0.2887 [8 per cell]
13 O 0.1195 0.1397 0.2564 [8 per cell]
14 O 0.2500 0.0329 0.5186 [4 per cell]
15 O 0.2500 0.0469 0.0185 [4 per cell]

---

Record 5
Simulated powder XRD pattern of Ba3Na2SnO6 for Cu Kα (λ = 1.5418 Å), from DFT lattice parameters and positions (PBE).

Peak list (12 most intense, 2θ = 5–70°, low angle first)
2θ 13.2, 6.731 Å, I = 334, hkl 0 0 1; 2θ 16.4, 5.418 Å, I = 193, hkl 1 0 0; 2θ 21.0, 4.221 Å, I = 213, hkl 1 0 1; 2θ 28.5, 3.128 Å, I = 1000, hkl 1 1 0; 2θ 31.3, 2.859 Å, I = 559, hkl 0 1 2; 2θ 35.7, 2.513 Å, I = 183, hkl 0 2 1; 2θ 39.3, 2.291 Å, I = 338, hkl 1 1 2; 2θ 42.9, 2.110 Å, I = 385, hkl 2 0 2; 2θ 50.5, 1.806 Å, I = 206, hkl 3 0 0; 2θ 52.3, 1.749 Å, I = 271, hkl 1 2 2; 2θ 57.3, 1.607 Å, I = 160, hkl 0 1 4; 2θ 59.1, 1.564 Å, I = 186, hkl 2 2 0

Atomic structure:
Unit cell a=6.2560 b=6.2560 c=6.7311 alpha=90.00 beta=90.00 gamma=120.00
Space group P-3m1 (No. 164)
Symmetry-distinct sites (fractional):
1 Ba 0.0000 0.0000 0.0000 [1 per cell]
2 Ba 0.3333 0.6667 0.6017 [2 per cell]
3 Na 0.3333 0.6667 0.1502 [2 per cell]
4 Sn 0.0000 0.0000 0.5000 [1 per cell]
5 O 0.1591 0.3183 0.3133 [6 per cell]